Diffraction record for RbPa3Os4N12. The powder diffractogram is simulated, not measured: it uses a structure optimized by DFT (PBE) and Cu Ka.
Lines closer than 0.1° are merged.

The 10 most intense peaks (10 to 90 degrees two-theta), sorted by position:
| hkl | d_spacing | 2θ/deg | I_rel |
| --- | --- | --- | --- |
| 2 1 1 | 3.482 | 25.6 | 35 |
| 2 0 2 | 3.457 | 25.8 | 100 |
| 2 2 0 | 2.850 | 31.4 | 24 |
| 1 1 3 | 2.810 | 31.9 | 25 |
| 1 3 1 | 2.635 | 34.0 | 44 |
| 0 2 4 | 2.174 | 41.5 | 27 |
| 4 1 3 | 1.792 | 51.0 | 17 |
| 5 1 1 | 1.744 | 52.5 | 13 |
| 3 3 3 | 1.638 | 56.2 | 15 |
| 5 2 0 | 1.581 | 58.4 | 26 |

```
data_RbPa3Os4N12
_cell_length_a 11.4009
_cell_length_b 11.4009
_cell_length_c 9.6867
_cell_angle_alpha 90.00
_cell_angle_beta 90.00
_cell_angle_gamma 120.00
_symmetry_space_group_name_H-M 'R 3 2'
_symmetry_Int_Tables_number 155
_symmetry_space_group_name_Hall 'R 3 2"'
loop_
_atom_site_label
_atom_site_type_symbol
_atom_site_fract_x
_atom_site_fract_y
_atom_site_fract_z
Rb1 Rb 0.0000 0.0000 0.0000
Pa1 Pa 0.0000 0.5644 0.0000
Os1 Os 0.0000 0.0000 0.5000
Os2 Os 0.0000 0.4407 0.5000
N1 N 0.0000 0.6020 0.5000
N2 N 0.0000 0.8392 0.5000
N3 N 0.0427 0.2235 0.2056
```

=====

Diffraction record for NaCeAg2S4. The powder diffractogram is simulated, not measured: it uses a structure optimized by DFT (PBE) and Cu Ka.
Lines closer than 0.1° are merged.

The 10 most intense peaks (10 to 90 degrees two-theta), sorted by position:
| hkl | d_spacing | 2θ/deg | I_rel |
| --- | --- | --- | --- |
| 1 0 1 | 5.052 | 17.6 | 35 |
| 2 0 0 | 3.487 | 25.5 | 38 |
| 1 1 2 | 2.941 | 30.4 | 100 |
| 2 1 1 | 2.870 | 31.2 | 21 |
| 2 2 0 | 2.466 | 36.4 | 51 |
| 3 1 2 | 1.890 | 48.2 | 62 |
| 4 0 0 | 1.744 | 52.5 | 15 |
| 2 2 4 | 1.470 | 63.2 | 19 |
| 5 1 2 | 1.281 | 74.0 | 13 |
| 5 3 2 | 1.137 | 85.4 | 15 |

```
data_NaCeAg2S4
_cell_length_a 6.9743
_cell_length_b 6.9743
_cell_length_c 7.3275
_cell_angle_alpha 90.00
_cell_angle_beta 90.00
_cell_angle_gamma 90.00
_symmetry_space_group_name_H-M 'I -4 2 m'
_symmetry_Int_Tables_number 121
_symmetry_space_group_name_Hall 'I -4 2'
loop_
_atom_site_label
_atom_site_type_symbol
_atom_site_fract_x
_atom_site_fract_y
_atom_site_fract_z
Na1 Na 0.0000 0.0000 0.0000
Ce1 Ce 0.0000 0.0000 0.5000
Ag1 Ag 0.0000 0.5000 0.2500
S1 S 0.2112 0.2112 0.2588
```

=====

Diffraction record for Ba4As2O. The powder diffractogram is simulated, not measured: it uses a structure optimized by DFT (PBE) and Cu Ka.
Lines closer than 0.1° are merged.

The 10 most intense peaks (10 to 90 degrees two-theta), sorted by position:
| hkl | d_spacing | 2θ/deg | I_rel |
| --- | --- | --- | --- |
| 0 4 1 | 3.733 | 23.8 | 23 |
| 0 2 2 | 3.477 | 25.6 | 75 |
| 2 2 0 | 3.373 | 26.4 | 84 |
| 1 5 1 | 2.875 | 31.1 | 44 |
| 0 6 0 | 2.857 | 31.3 | 46 |
| 0 4 2 | 2.845 | 31.4 | 57 |
| 2 4 0 | 2.787 | 32.1 | 60 |
| 2 0 2 | 2.641 | 33.9 | 100 |
| 2 6 2 | 1.939 | 46.9 | 47 |
| 4 6 0 | 1.543 | 60.0 | 32 |

```
data_Ba4As2O
_cell_length_a 7.3383
_cell_length_b 17.1391
_cell_length_c 7.6080
_cell_angle_alpha 90.00
_cell_angle_beta 90.00
_cell_angle_gamma 90.00
_symmetry_space_group_name_H-M 'C m c e'
_symmetry_Int_Tables_number 64
_symmetry_space_group_name_Hall '-C 2ac 2'
loop_
_atom_site_label
_atom_site_type_symbol
_atom_site_fract_x
_atom_site_fract_y
_atom_site_fract_z
Ba1 Ba 0.0000 0.1757 0.0555
Ba2 Ba 0.2500 0.0157 0.7500
As1 As 0.0000 0.1353 0.4810
O1 O 0.0000 0.0000 0.0000
```

=====

Diffraction record for SrSiAg2O4. The powder diffractogram is simulated, not measured: it uses a structure optimized by DFT (PBE) and Cu Ka.
Lines closer than 0.1° are merged.

The 10 most intense peaks (10 to 90 degrees two-theta), sorted by position:
| hkl | d_spacing | 2θ/deg | I_rel |
| --- | --- | --- | --- |
| 0 0 2 | 3.226 | 27.6 | 13 |
| 2 2 0 | 2.992 | 29.9 | 100 |
| 0 2 2 | 2.664 | 33.6 | 94 |
| 2 0 2 | 2.477 | 36.3 | 58 |
| 0 4 0 | 2.364 | 38.1 | 31 |
| 2 2 2 | 2.194 | 41.1 | 16 |
| 4 0 0 | 1.932 | 47.0 | 18 |
| 2 4 2 | 1.710 | 53.6 | 45 |
| 4 2 2 | 1.564 | 59.0 | 31 |
| 2 2 4 | 1.420 | 65.8 | 20 |

```
data_SrSiAg2O4
_cell_length_a 7.7299
_cell_length_b 9.4543
_cell_length_c 6.4530
_cell_angle_alpha 90.00
_cell_angle_beta 90.00
_cell_angle_gamma 90.00
_symmetry_space_group_name_H-M 'F m m 2'
_symmetry_Int_Tables_number 42
_symmetry_space_group_name_Hall 'F 2 -2'
loop_
_atom_site_label
_atom_site_type_symbol
_atom_site_fract_x
_atom_site_fract_y
_atom_site_fract_z
Sr1 Sr 0.0000 0.0000 0.0000
Si1 Si 0.0000 0.0000 0.5039
Ag1 Ag 0.2500 0.2500 0.2137
O1 O 0.0000 0.1415 0.6623
O2 O 0.1739 0.0000 0.3574
```

=====

Diffraction record for Ac3Bi4O12. The powder diffractogram is simulated, not measured: it uses a structure optimized by DFT (PBE) and Cu Ka.
Lines closer than 0.1° are merged.

The 10 most intense peaks (10 to 90 degrees two-theta), sorted by position:
| hkl | d_spacing | 2θ/deg | I_rel |
| --- | --- | --- | --- |
| 1 1 0 | 6.212 | 14.3 | 15 |
| 2 1 1 | 3.587 | 24.8 | 6 |
| 2 2 0 | 3.106 | 28.7 | 100 |
| 3 2 1 | 2.348 | 38.3 | 5 |
| 4 0 0 | 2.196 | 41.1 | 25 |
| 4 2 2 | 1.793 | 50.9 | 47 |
| 4 4 0 | 1.553 | 59.5 | 16 |
| 6 0 2 | 1.389 | 67.4 | 20 |
| 4 4 4 | 1.268 | 74.9 | 5 |
| 6 4 2 | 1.174 | 82.1 | 25 |

```
data_Ac3Bi4O12
_cell_length_a 8.7852
_cell_length_b 8.7852
_cell_length_c 8.7852
_cell_angle_alpha 90.00
_cell_angle_beta 90.00
_cell_angle_gamma 90.00
_symmetry_space_group_name_H-M 'I m -3'
_symmetry_Int_Tables_number 204
_symmetry_space_group_name_Hall '-I 2 2 3'
loop_
_atom_site_label
_atom_site_type_symbol
_atom_site_fract_x
_atom_site_fract_y
_atom_site_fract_z
Ac1 Ac 0.0000 0.0000 0.5000
Bi1 Bi 0.2500 0.2500 0.2500
O1 O 0.0000 0.3108 0.2207
```

=====

Diffraction record for La10Tl3Bi3. The powder diffractogram is simulated, not measured: it uses a structure optimized by DFT (PBE) and Cu Ka.
Lines closer than 0.1° are merged.

The 10 most intense peaks (10 to 90 degrees two-theta), sorted by position:
| hkl | d_spacing | 2θ/deg | I_rel |
| --- | --- | --- | --- |
| 0 0 2 | 3.434 | 25.9 | 27 |
| 2 1 0 | 3.161 | 28.2 | 21 |
| 2 1 1 | 2.871 | 31.1 | 100 |
| 1 1 2 | 2.798 | 32.0 | 76 |
| 3 0 0 | 2.788 | 32.1 | 51 |
| 3 1 1 | 2.197 | 41.1 | 22 |
| 2 2 2 | 1.975 | 46.0 | 17 |
| 2 1 3 | 1.854 | 49.1 | 28 |
| 5 0 0 | 1.674 | 54.9 | 16 |
| 5 0 2 | 1.503 | 61.7 | 24 |

```
data_La10Tl3Bi3
_cell_length_a 9.6563
_cell_length_b 9.6563
_cell_length_c 6.8683
_cell_angle_alpha 90.00
_cell_angle_beta 90.00
_cell_angle_gamma 120.00
_symmetry_space_group_name_H-M 'P -6 2 m'
_symmetry_Int_Tables_number 189
_symmetry_space_group_name_Hall 'P -6 -2'
loop_
_atom_site_label
_atom_site_type_symbol
_atom_site_fract_x
_atom_site_fract_y
_atom_site_fract_z
La1 La 0.0000 0.2441 0.0000
La2 La 0.0000 0.7543 0.5000
La3 La 0.3333 0.6667 0.2386
Tl1 Tl 0.0000 0.3914 0.5000
Bi1 Bi 0.0000 0.6127 0.0000
```

=====

Question: Which formula does entry 2 have?
Answer: NaCeAg2S4